Record 1
For CeH6Pt3, a cell relaxed with GGA-PBE gives the simulated powder diffraction line list in this record (Cu Ka).
Neutral-atom scattering factors, no anomalous dispersion.

Principal peaks in the range 2θ = 10–90°, most intense first:
2θ 32.97, 2.716 Å, rel. 100.0; 2θ 36.74, 2.446 Å, rel. 74.9; 2θ 56.34, 1.633 Å, rel. 21.9; 2θ 50.15, 1.819 Å, rel. 21.1; 2θ 63.77, 1.459 Å, rel. 20.6; 2θ 66.17, 1.412 Å, rel. 13.8; 2θ 50.27, 1.815 Å, rel. 10.5; 2θ 80.91, 1.188 Å, rel. 10.4; 2θ 63.84, 1.458 Å, rel. 10.2; 2θ 87.40, 1.116 Å, rel. 8.9

Crystal structure
Cell: 4.8897 4.8907 5.4966 Å, 116.32 90.10 119.93°
Fractional positions:
Ce 0.0000 0.0000 0.0000
H 0.1346 0.6338 0.4992
H 0.4908 0.4928 0.9996
H 0.5014 0.3682 0.5012
H 0.5072 0.9992 0.9994
H 0.8687 0.9999 0.4998
H 0.9976 0.5069 0.0005
Pt 0.2469 0.4937 0.7396
Pt 0.5019 0.0007 0.4999
Pt 0.7537 0.5065 0.2602



Record 2
For Al2SnIr, a cell relaxed with GGA-PBE gives the simulated powder diffraction line list in this record (Cu Ka).
Neutral-atom scattering factors, no anomalous dispersion.

Principal peaks in the range 2θ = 10–90°, most intense first:
2θ 22.31, 3.984 Å, rel. 100.0; 2θ 38.42, 2.343 Å, rel. 70.3; 2θ 31.76, 2.817 Å, rel. 69.2; 2θ 50.68, 1.801 Å, rel. 63.4; 2θ 51.28, 1.782 Å, rel. 29.1; 2θ 70.48, 1.336 Å, rel. 24.0; 2θ 45.54, 1.992 Å, rel. 23.9; 2θ 61.06, 1.518 Å, rel. 18.2; 2θ 79.38, 1.207 Å, rel. 17.6; 2θ 20.53, 4.326 Å, rel. 12.8

Crystal structure
Cell: 7.9680 7.9680 5.1520 Å, 90.00 90.00 90.00°
Fractional positions:
Al 0.1743 0.2500 0.1250
Al 0.2500 0.6743 0.3750
Al 0.2500 0.8257 0.8750
Al 0.3257 0.2500 0.6250
Al 0.6743 0.7500 0.6250
Al 0.7500 0.1743 0.8750
Al 0.7500 0.3257 0.3750
Al 0.8257 0.7500 0.1250
Sn 0.0000 0.0000 0.5000
Sn 0.0000 0.5000 0.7500
Sn 0.5000 0.0000 0.2500
Sn 0.5000 0.5000 0.0000
Ir 0.0000 0.0000 0.0000
Ir 0.0000 0.5000 0.2500
Ir 0.5000 0.0000 0.7500
Ir 0.5000 0.5000 0.5000



Record 3
For Hf6InN, a cell relaxed with GGA-PBE gives the simulated powder diffraction line list in this record (Cu Ka).
Neutral-atom scattering factors, no anomalous dispersion.

Principal peaks in the range 2θ = 10–90°, most intense first:
2θ 34.36, 2.610 Å, rel. 100.0; 2θ 40.14, 2.247 Å, rel. 68.2; 2θ 35.22, 2.548 Å, rel. 32.3; 2θ 69.24, 1.357 Å, rel. 25.2; 2θ 57.48, 1.603 Å, rel. 22.8; 2θ 58.64, 1.574 Å, rel. 22.5; 2θ 70.29, 1.339 Å, rel. 12.3; 2θ 68.71, 1.366 Å, rel. 11.8; 2θ 72.42, 1.305 Å, rel. 10.3; 2θ 86.68, 1.123 Å, rel. 6.8

Crystal structure
Cell: 5.5210 5.5210 5.5210 Å, 100.40 100.40 100.40°
Fractional positions:
Hf 0.0855 0.7715 0.6604
Hf 0.2285 0.3396 0.9145
Hf 0.3396 0.9145 0.2285
Hf 0.6604 0.0855 0.7715
Hf 0.7715 0.6604 0.0855
Hf 0.9145 0.2285 0.3396
In 0.5000 0.5000 0.5000
N 0.0000 0.0000 0.0000



Record 4
For In3Se4, a cell relaxed with GGA-PBE gives the simulated powder diffraction line list in this record (Cu Ka).
Neutral-atom scattering factors, no anomalous dispersion.

Principal peaks in the range 2θ = 10–90°, most intense first:
2θ 35.97, 2.497 Å, rel. 100.0; 2θ 28.16, 3.169 Å, rel. 79.4; 2θ 45.27, 2.003 Å, rel. 74.8; 2θ 37.94, 2.372 Å, rel. 63.0; 2θ 30.17, 2.962 Å, rel. 46.0; 2θ 13.05, 6.783 Å, rel. 43.5; 2θ 44.87, 2.020 Å, rel. 42.6; 2θ 39.04, 2.307 Å, rel. 38.5; 2θ 29.65, 3.013 Å, rel. 32.4; 2θ 38.26, 2.352 Å, rel. 28.7

Crystal structure
Cell: 14.6635 4.0399 6.9555 Å, 90.00 112.32 90.00°
Fractional positions:
In 0.0000 0.0000 0.0000
In 0.2295 0.5000 0.7095
In 0.2705 0.0000 0.2905
In 0.5000 0.5000 0.0000
In 0.7295 0.0000 0.7095
In 0.7705 0.5000 0.2905
Se 0.1260 0.0000 0.4586
Se 0.1413 0.5000 0.9992
Se 0.3587 0.0000 0.0008
Se 0.3740 0.5000 0.5414
Se 0.6260 0.5000 0.4586
Se 0.6413 0.0000 0.9992
Se 0.8587 0.5000 0.0008
Se 0.8740 0.0000 0.5414



Record 5
For Na2B2Se7, a cell relaxed with GGA-PBE gives the simulated powder diffraction line list in this record (Cu Ka).
Neutral-atom scattering factors, no anomalous dispersion.

Principal peaks in the range 2θ = 10–90°, most intense first:
2θ 32.47, 2.758 Å, rel. 100.0; 2θ 15.11, 5.865 Å, rel. 81.6; 2θ 31.15, 2.871 Å, rel. 73.2; 2θ 29.83, 2.995 Å, rel. 63.1; 2θ 23.93, 3.718 Å, rel. 33.6; 2θ 30.48, 2.932 Å, rel. 29.9; 2θ 34.94, 2.568 Å, rel. 29.0; 2θ 24.75, 3.597 Å, rel. 23.0; 2θ 26.95, 3.309 Å, rel. 21.6; 2θ 54.21, 1.692 Å, rel. 20.3

Crystal structure
Cell: 8.2728 8.2728 12.0404 Å, 116.29 116.29 48.94°
Fractional positions:
Na 0.1071 0.6729 0.9570
Na 0.3271 0.8929 0.5430
Na 0.6729 0.1071 0.4570
Na 0.8929 0.3271 0.0430
B 0.1625 0.6023 0.6504
B 0.3977 0.8375 0.8496
B 0.6023 0.1625 0.1504
B 0.8375 0.3977 0.3496
Se 0.0848 0.0900 0.2762
Se 0.0900 0.0848 0.7762
Se 0.1454 0.3784 0.6689
Se 0.1986 0.5586 0.4799
Se 0.3784 0.1454 0.1689
Se 0.4414 0.8014 0.0201
Se 0.4757 0.5243 0.7500
Se 0.5243 0.4757 0.2500
Se 0.5586 0.1986 0.9799
Se 0.6216 0.8546 0.8311
Se 0.8014 0.4414 0.5201
Se 0.8546 0.6216 0.3311
Se 0.9100 0.9152 0.2238
Se 0.9152 0.9100 0.7238



Record 6
For RbSb2F7, a cell relaxed with GGA-PBE gives the simulated powder diffraction line list in this record (Cu Ka).
Neutral-atom scattering factors, no anomalous dispersion.

Principal peaks in the range 2θ = 10–90°, most intense first:
2θ 24.88, 3.579 Å, rel. 100.0; 2θ 24.04, 3.701 Å, rel. 71.2; 2θ 19.34, 4.591 Å, rel. 36.8; 2θ 19.88, 4.467 Å, rel. 34.4; 2θ 27.03, 3.299 Å, rel. 34.3; 2θ 25.84, 3.447 Å, rel. 34.1; 2θ 46.46, 1.955 Å, rel. 31.3; 2θ 40.13, 2.247 Å, rel. 24.0; 2θ 42.12, 2.146 Å, rel. 22.5; 2θ 44.68, 2.028 Å, rel. 21.6

Crystal structure
Cell: 13.0247 6.5977 9.1023 Å, 90.00 101.05 90.00°
Fractional positions:
Rb 0.1107 0.2390 0.4191
Rb 0.1107 0.2610 0.9191
Rb 0.8893 0.7390 0.0809
Rb 0.8893 0.7610 0.5809
Sb 0.2128 0.7437 0.7108
Sb 0.2128 0.7563 0.2108
Sb 0.4137 0.2089 0.8235
Sb 0.4137 0.2911 0.3235
Sb 0.5863 0.7089 0.6765
Sb 0.5863 0.7911 0.1765
Sb 0.7872 0.2437 0.7892
Sb 0.7872 0.2563 0.2892
F 0.0952 0.5529 0.6354
F 0.0952 0.9471 0.1354
F 0.1028 0.5382 0.1736
F 0.1028 0.9618 0.6736
F 0.1709 0.7006 0.9076
F 0.1709 0.7994 0.4076
F 0.2890 0.0840 0.2818
F 0.2890 0.4160 0.7818
F 0.3002 0.0175 0.8776
F 0.3002 0.4825 0.3776
F 0.3544 0.1202 0.6184
F 0.3544 0.3798 0.1184
F 0.4958 0.0742 0.1854
F 0.4958 0.4258 0.6854
F 0.5042 0.5742 0.3146
F 0.5042 0.9258 0.8146
F 0.6456 0.6202 0.8816
F 0.6456 0.8798 0.3816
F 0.6998 0.5175 0.6224
F 0.6998 0.9825 0.1224
F 0.7110 0.5840 0.2182
F 0.7110 0.9160 0.7182
F 0.8291 0.2006 0.5924
F 0.8291 0.2994 0.0924
F 0.8972 0.0382 0.3264
F 0.8972 0.4618 0.8264
F 0.9048 0.0529 0.8646
F 0.9048 0.4471 0.3646



Record 7
For Ba3Hg2Rh, a cell relaxed with GGA-PBE gives the simulated powder diffraction line list in this record (Cu Ka).
Neutral-atom scattering factors, no anomalous dispersion.

Principal peaks in the range 2θ = 10–90°, most intense first:
2θ 38.30, 2.350 Å, rel. 100.0; 2θ 33.02, 2.713 Å, rel. 84.0; 2θ 28.01, 3.186 Å, rel. 71.3; 2θ 27.24, 3.274 Å, rel. 69.3; 2θ 34.97, 2.566 Å, rel. 65.7; 2θ 30.24, 2.955 Å, rel. 59.5; 2θ 29.18, 3.061 Å, rel. 45.8; 2θ 26.42, 3.373 Å, rel. 39.2; 2θ 26.85, 3.321 Å, rel. 33.9; 2θ 55.29, 1.662 Å, rel. 32.3

Crystal structure
Cell: 13.7029 4.7041 13.6771 Å, 90.00 90.00 90.00°
Fractional positions:
Ba 0.0537 0.2500 0.1296
Ba 0.1152 0.7500 0.5503
Ba 0.2283 0.2500 0.7961
Ba 0.2717 0.7500 0.2961
Ba 0.3848 0.2500 0.0503
Ba 0.4463 0.7500 0.6296
Ba 0.5537 0.2500 0.3704
Ba 0.6152 0.7500 0.9497
Ba 0.7283 0.2500 0.7039
Ba 0.7717 0.7500 0.2039
Ba 0.8848 0.2500 0.4497
Ba 0.9463 0.7500 0.8704
Hg 0.0197 0.7500 0.3138
Hg 0.1997 0.7500 0.9907
Hg 0.3003 0.2500 0.4907
Hg 0.4803 0.2500 0.8138
Hg 0.5197 0.7500 0.1862
Hg 0.6997 0.7500 0.5093
Hg 0.8003 0.2500 0.0093
Hg 0.9803 0.2500 0.6862
Rh 0.1270 0.2500 0.3692
Rh 0.3730 0.7500 0.8692
Rh 0.6270 0.2500 0.1308
Rh 0.8730 0.7500 0.6308